Entry 1:
Theoretical XRD peak list
Compound: Fe2NiIr2
Radiation: copper Kα
Structure: a DFT-relaxed cell (PBE, Alexandria)

Most intense lines, 10 to 80 degrees two-theta, in order of falling intensity:
23.51°, 3.784 Å, intensity 100.0; 35.79°, 2.509 Å, intensity 89.1; 43.26°, 2.091 Å, intensity 83.7; 41.00°, 2.201 Å, intensity 52.0; 42.96°, 2.105 Å, intensity 51.7; 48.09°, 1.892 Å, intensity 48.2

a b c (Å): 2.707 3.784 6.701
angles (deg): 89.87 89.93 89.99
Positions (direct):
Fe: 0.000 0.000 0.000
Fe: 0.500 0.500 0.000
Ni: 0.000 0.500 0.500
Ir: 0.499 0.001 0.308
Ir: 0.501 0.999 0.692

Entry 2:
Theoretical XRD peak list
Compound: Fe2Ni7Ir2
Radiation: copper Kα
Structure: a DFT-relaxed cell (PBE, Alexandria)

Most intense lines, 10 to 80 degrees two-theta, in order of falling intensity:
44.47°, 2.037 Å, intensity 100.0; 44.22°, 2.048 Å, intensity 92.8; 16.40°, 5.407 Å, intensity 50.1; 46.96°, 1.935 Å, intensity 49.7; 43.82°, 2.066 Å, intensity 42.7; 50.64°, 1.802 Å, intensity 40.5

a b c (Å): 5.040 5.040 5.655
angles (deg): 100.82 100.82 100.31
Positions (direct):
Fe: 0.220 0.780 0.000
Fe: 0.780 0.220 0.000
Ni: 0.048 0.594 0.330
Ni: 0.093 0.093 0.337
Ni: 0.406 0.952 0.670
Ni: 0.500 0.500 0.500
Ni: 0.594 0.048 0.330
Ni: 0.907 0.907 0.663
Ni: 0.952 0.406 0.670
Ir: 0.303 0.303 0.023
Ir: 0.697 0.697 0.977

Entry 3:
Theoretical XRD peak list
Compound: Fe4Ni3Ir
Radiation: copper Kα
Structure: a DFT-relaxed cell (PBE, Alexandria)

Most intense lines, 10 to 80 degrees two-theta, in order of falling intensity:
46.28°, 1.962 Å, intensity 100.0; 43.19°, 2.094 Å, intensity 45.9; 46.50°, 1.953 Å, intensity 42.7; 42.10°, 2.146 Å, intensity 22.0; 74.27°, 1.277 Å, intensity 16.6; 40.64°, 2.220 Å, intensity 16.0

a b c (Å): 8.378 5.137 4.415
angles (deg): 90.00 90.00 90.00
Positions (direct):
Fe: 0.000 0.244 0.000
Fe: 0.000 0.756 0.000
Fe: 0.250 0.246 0.340
Fe: 0.250 0.754 0.340
Fe: 0.500 0.244 0.000
Fe: 0.500 0.756 0.000
Fe: 0.750 0.246 0.660
Fe: 0.750 0.754 0.660
Ni: 0.000 0.000 0.500
Ni: 0.250 0.000 0.840
Ni: 0.250 0.500 0.848
Ni: 0.500 0.000 0.500
Ni: 0.750 0.000 0.160
Ni: 0.750 0.500 0.152
Ir: 0.000 0.500 0.500
Ir: 0.500 0.500 0.500

Please write out number 3 again, unchanged.
Theoretical XRD peak list
Compound: Fe4Ni3Ir
Radiation: copper Kα
Structure: a DFT-relaxed cell (PBE, Alexandria)

Most intense lines, 10 to 80 degrees two-theta, in order of falling intensity:
46.28°, 1.962 Å, intensity 100.0; 43.19°, 2.094 Å, intensity 45.9; 46.50°, 1.953 Å, intensity 42.7; 42.10°, 2.146 Å, intensity 22.0; 74.27°, 1.277 Å, intensity 16.6; 40.64°, 2.220 Å, intensity 16.0

a b c (Å): 8.378 5.137 4.415
angles (deg): 90.00 90.00 90.00
Positions (direct):
Fe: 0.000 0.244 0.000
Fe: 0.000 0.756 0.000
Fe: 0.250 0.246 0.340
Fe: 0.250 0.754 0.340
Fe: 0.500 0.244 0.000
Fe: 0.500 0.756 0.000
Fe: 0.750 0.246 0.660
Fe: 0.750 0.754 0.660
Ni: 0.000 0.000 0.500
Ni: 0.250 0.000 0.840
Ni: 0.250 0.500 0.848
Ni: 0.500 0.000 0.500
Ni: 0.750 0.000 0.160
Ni: 0.750 0.500 0.152
Ir: 0.000 0.500 0.500
Ir: 0.500 0.500 0.500